Record 1
For Co9S8, a DFT-relaxed cell (PBE, Alexandria) gives the calculated powder XRD pattern in this record (Cu Kα, 1.54184 Å).
No peak broadening, texture or thermal motion is included.

The 8 most intense peaks (10 to 90 degrees two-theta), sorted by position:
5.655 Å, 15.67 deg, rel. 23.5
2.953 Å, 30.26 deg, rel. 88.6
2.828 Å, 31.64 deg, rel. 19.5
2.247 Å, 40.13 deg, rel. 15.3
1.885 Å, 48.28 deg, rel. 33.4
1.732 Å, 52.87 deg, rel. 100.0
1.275 Å, 74.39 deg, rel. 15.8
1.224 Å, 78.04 deg, rel. 14.5

Atomic structure:
Cell: 6.9265 6.9265 6.9265 Å, 60.00 60.00 60.00°
Positions (direct):
Co  0.0000  0.0000  0.0000
Co  0.1203  0.6266  0.6266
Co  0.3734  0.3734  0.3734
Co  0.3734  0.3734  0.8797
Co  0.3734  0.8797  0.3734
Co  0.6266  0.1203  0.6266
Co  0.6266  0.6266  0.1203
Co  0.6266  0.6266  0.6266
Co  0.8797  0.3734  0.3734
S  0.2386  0.2386  0.7614
S  0.2386  0.7614  0.2386
S  0.2386  0.7614  0.7614
S  0.2500  0.2500  0.2500
S  0.7500  0.7500  0.7500
S  0.7614  0.2386  0.2386
S  0.7614  0.2386  0.7614
S  0.7614  0.7614  0.2386

=====

Record 2
For Tm5Co2As, a DFT-relaxed cell (PBE, Alexandria) gives the calculated powder XRD pattern in this record (Cu Kα, 1.54184 Å).
No peak broadening, texture or thermal motion is included.

The 8 most intense peaks (10 to 90 degrees two-theta), sorted by position:
3.204 Å, 27.84 deg, rel. 38.9
2.714 Å, 33.00 deg, rel. 26.8
2.608 Å, 34.38 deg, rel. 100.0
2.410 Å, 37.32 deg, rel. 35.4
2.342 Å, 38.44 deg, rel. 57.8
1.654 Å, 55.55 deg, rel. 22.5
1.530 Å, 60.53 deg, rel. 21.7
1.308 Å, 72.21 deg, rel. 18.6

Atomic structure:
Cell: 8.2289 8.2289 8.2289 Å, 126.51 126.51 79.05°
Positions (direct):
Tm  0.0000  0.0000  0.0000
Tm  0.0214  0.5214  0.8200
Tm  0.2014  0.0214  0.5000
Tm  0.2986  0.7986  0.8200
Tm  0.4786  0.2986  0.5000
Tm  0.5000  0.5000  0.0000
Tm  0.5214  0.7014  0.5000
Tm  0.7014  0.2014  0.1800
Tm  0.7986  0.9786  0.5000
Tm  0.9786  0.4786  0.1800
Co  0.1327  0.3673  0.5000
Co  0.3673  0.8673  0.2347
Co  0.6327  0.1327  0.7653
Co  0.8673  0.6327  0.5000
As  0.2500  0.2500  0.0000
As  0.7500  0.7500  0.0000

=====

Record 3
For Tb8Er6Pu, a DFT-relaxed cell (PBE, Alexandria) gives the calculated powder XRD pattern in this record (Cu Kα, 1.54184 Å).
No peak broadening, texture or thermal motion is included.

The 8 most intense peaks (10 to 90 degrees two-theta), sorted by position:
3.425 Å, 26.01 deg, rel. 40.0
3.067 Å, 29.11 deg, rel. 16.9
2.751 Å, 32.55 deg, rel. 65.8
2.696 Å, 33.23 deg, rel. 100.0
2.665 Å, 33.62 deg, rel. 80.4
1.895 Å, 48.00 deg, rel. 14.6
1.768 Å, 51.70 deg, rel. 25.1
1.404 Å, 66.62 deg, rel. 14.3

Atomic structure:
Cell: 9.2331 9.2331 6.6428 Å, 90.00 90.00 120.00°
Positions (direct):
Tb  0.0164  0.6906  0.3878
Tb  0.3094  0.3258  0.3878
Tb  0.3258  0.0164  0.6122
Tb  0.3333  0.6667  0.6840
Tb  0.6667  0.3333  0.3160
Tb  0.6742  0.9836  0.3878
Tb  0.6906  0.6742  0.6122
Tb  0.9836  0.3094  0.6122
Er  0.0766  0.4003  0.1053
Er  0.3238  0.9234  0.1053
Er  0.4003  0.3238  0.8947
Er  0.5997  0.6762  0.1053
Er  0.6762  0.0766  0.8947
Er  0.9234  0.5997  0.8947
Pu  0.0000  0.0000  0.0000